This entry pairs a crystal structure of NaLiMg6O7 with its theoretical powder diffractogram. Radiation: Cu Kα (λ = 1.5418 Å). Structure: a GGA-PBE-relaxed structure.

Principal peaks in the range 2θ = 10–80°, in order of rising 2θ:
2θ/deg	Rel. int.	index
23.06	11	1 0 1
29.19	8	1 0 2
31.14	13	1 1 1
36.02	17	1 1 2
41.52	41	0 0 4
42.00	100	2 0 0
60.53	46	2 0 4
60.90	28	2 2 0
61.38	11	1 1 5
76.40	20	2 2 4

Structure:
```
data_NaLiMg6O7
_cell_length_a 4.3026
_cell_length_b 4.3026
_cell_length_c 8.7002
_cell_angle_alpha 90.00
_cell_angle_beta 90.00
_cell_angle_gamma 90.00
_symmetry_space_group_name_H-M 'P 1'
_symmetry_Int_Tables_number 1
loop_
_symmetry_equiv_pos_as_xyz
'x,y,z'
loop_
_atom_site_label
_atom_site_fract_x
_atom_site_fract_y
_atom_site_fract_z
Na1 0.0000 0.0000 0.0000
Li1 0.5000 0.5000 0.0196
Mg1 0.0000 0.0000 0.5256
Mg2 0.0000 0.5000 0.2420
Mg3 0.0000 0.5000 0.7862
Mg4 0.5000 0.0000 0.2420
Mg5 0.5000 0.0000 0.7862
Mg6 0.5000 0.5000 0.5028
O1 0.0000 0.0000 0.7470
O2 0.0000 0.5000 0.0219
O3 0.0000 0.5000 0.4779
O4 0.5000 0.0000 0.0219
O5 0.5000 0.0000 0.4779
O6 0.5000 0.5000 0.2617
O7 0.5000 0.5000 0.7433
```